(1)
Structure and simulated X-ray powder pattern of NaMnPCO7 (DFT lattice parameters and positions (PBE+U); copper Kα).
Lines closer than 0.1° are merged.

Crystal structure
```
data_NaMnPCO7
_space_group_name_H-M_alt 'P 1'
_space_group_IT_number 1
_cell_length_a 8.180
_cell_length_b 8.208
_cell_length_c 9.020
_cell_angle_alpha 90.07
_cell_angle_beta 92.38
_cell_angle_gamma 99.86
loop_
_space_group_symop_operation_xyz
'x,y,z'
loop_
_atom_site_label
_atom_site_type_symbol
_atom_site_fract_x
_atom_site_fract_y
_atom_site_fract_z
Na1 Na 0.000 0.000 0.000
Na2 Na 0.013 0.491 0.474
Na3 Na 0.252 0.746 0.000
Na4 Na 0.519 0.997 0.471
Mn1 Mn 0.101 0.864 0.578
Mn2 Mn 0.142 0.391 0.890
Mn3 Mn 0.602 0.366 0.576
Mn4 Mn 0.640 0.891 0.890
P1 P 0.355 0.106 0.803
P2 P 0.388 0.643 0.665
P3 P 0.861 0.613 0.800
P4 P 0.887 0.144 0.665
C1 C 0.117 0.365 0.157
C2 C 0.136 0.887 0.313
C3 C 0.622 0.858 0.158
C4 C 0.632 0.384 0.305
O1 O 0.021 0.781 0.376
O2 O 0.022 0.272 0.056
O3 O 0.026 0.294 0.707
O4 O 0.104 0.350 0.292
O5 O 0.155 0.896 0.177
O6 O 0.207 0.958 0.764
O7 O 0.228 0.473 0.092
O8 O 0.228 0.982 0.414
O9 O 0.254 0.707 0.563
O10 O 0.285 0.229 0.902
O11 O 0.312 0.567 0.808
O12 O 0.434 0.179 0.662
O13 O 0.449 0.516 0.565
O14 O 0.478 0.032 0.909
O15 O 0.519 0.278 0.372
O16 O 0.529 0.763 0.056
O17 O 0.529 0.791 0.706
O18 O 0.604 0.846 0.292
O19 O 0.649 0.394 0.170
O20 O 0.719 0.471 0.756
O21 O 0.727 0.482 0.404
O22 O 0.732 0.968 0.092
O23 O 0.752 0.206 0.564
O24 O 0.807 0.749 0.897
O25 O 0.814 0.064 0.808
O26 O 0.939 0.687 0.656
O27 O 0.952 0.019 0.565
O28 O 0.998 0.555 0.903
```

Principal peaks in the range 2θ = 10–80°, in order of rising 2θ:
h k l  2θ (°)  I_rel
-1 1 1  17.02  64
1 -1 1  17.45  58
1 1 -1  19.22  60
1 1 1  19.79  66
0 2 0  22.03  50
2 0 1  24.60  41
1 1 -2  25.58  82
1 1 2  26.44  32
2 -2 0  28.48  100
2 2 0  34.01  49



(2)
Structure and simulated X-ray powder pattern of Na3MnPCO7 (DFT lattice parameters and positions (PBE+U); copper Kα).
Lines closer than 0.1° are merged.

Crystal structure
```
data_Na3MnPCO7
_space_group_name_H-M_alt 'P 1 21/m 1'
_space_group_IT_number 11
_cell_length_a 5.206
_cell_length_b 6.825
_cell_length_c 9.093
_cell_angle_alpha 90.00
_cell_angle_beta 90.08
_cell_angle_gamma 90.00
loop_
_space_group_symop_operation_xyz
'x,y,z'
'-x,-y,-z'
'-x,y+1/2,-z'
'x,-y+1/2,z'
loop_
_atom_site_label
_atom_site_type_symbol
_atom_site_fract_x
_atom_site_fract_y
_atom_site_fract_z
Na1 Na 0.240 0.250 0.086
Na2 Na 0.250 0.502 0.743
Mn1 Mn 0.219 0.750 0.361
P1 P 0.299 0.250 0.413
C1 C 0.259 0.750 0.061
O1 O 0.030 0.750 0.119
O2 O 0.182 0.250 0.570
O3 O 0.215 0.067 0.322
O4 O 0.287 0.750 0.919
O5 O 0.401 0.750 0.571
O6 O 0.459 0.750 0.147
```

Principal peaks in the range 2θ = 10–80°, in order of rising 2θ:
h k l  2θ (°)  I_rel
1 0 -1  19.65  26
1 0 -2  26.01  24
0 2 0  26.11  62
0 2 2  32.85  100
1 0 -3  34.22  30
2 0 0  34.45  49
2 1 -2  42.13  25
0 2 4  48.09  31
1 0 -5  53.35  22
0 4 0  53.72  22



(3)
Structure and simulated X-ray powder pattern of Na2MnPCO7 (DFT lattice parameters and positions (PBE+U); copper Kα).
Lines closer than 0.1° are merged.

Crystal structure
```
data_Na2MnPCO7
_space_group_name_H-M_alt 'P 1'
_space_group_IT_number 1
_cell_length_a 8.489
_cell_length_b 8.547
_cell_length_c 10.235
_cell_angle_alpha 107.74
_cell_angle_beta 107.40
_cell_angle_gamma 104.31
loop_
_space_group_symop_operation_xyz
'x,y,z'
loop_
_atom_site_label
_atom_site_type_symbol
_atom_site_fract_x
_atom_site_fract_y
_atom_site_fract_z
Na1 Na 0.000 0.000 0.000
Na2 Na 0.007 0.997 0.488
Na3 Na 0.229 0.456 0.177
Na4 Na 0.252 0.761 0.501
Na5 Na 0.275 0.765 0.002
Na6 Na 0.520 0.519 0.001
Na7 Na 0.741 0.261 0.495
Na8 Na 0.754 0.246 0.997
Mn1 Mn 0.210 0.446 0.597
Mn2 Mn 0.316 0.062 0.896
Mn3 Mn 0.695 0.936 0.598
Mn4 Mn 0.819 0.563 0.892
P1 P 0.072 0.320 0.823
P2 P 0.448 0.188 0.667
P3 P 0.569 0.812 0.827
P4 P 0.951 0.699 0.668
C1 C 0.036 0.285 0.321
C2 C 0.481 0.228 0.171
C3 C 0.527 0.776 0.317
C4 C 0.984 0.727 0.172
O1 O 0.031 0.596 0.573
O2 O 0.042 0.785 0.084
O3 O 0.055 0.795 0.312
O4 O 0.098 0.845 0.822
O5 O 0.177 0.245 0.924
O6 O 0.182 0.430 0.393
O7 O 0.207 0.451 0.791
O8 O 0.319 0.056 0.704
O9 O 0.332 0.083 0.099
O10 O 0.333 0.258 0.572
O11 O 0.420 0.672 0.676
O12 O 0.457 0.702 0.174
O13 O 0.458 0.718 0.398
O14 O 0.496 0.922 0.925
O15 O 0.529 0.279 0.074
O16 O 0.534 0.082 0.578
O17 O 0.559 0.303 0.309
O18 O 0.593 0.337 0.819
O19 O 0.677 0.730 0.916
O20 O 0.677 0.916 0.393
O21 O 0.702 0.945 0.793
O22 O 0.827 0.567 0.706
O23 O 0.837 0.580 0.095
O24 O 0.847 0.787 0.582
O25 O 0.927 0.175 0.673
O26 O 0.967 0.215 0.179
O27 O 0.981 0.229 0.409
O28 O 0.996 0.429 0.922
```

Principal peaks in the range 2θ = 10–80°, in order of rising 2θ:
h k l  2θ (°)  I_rel
1 -1 1  16.51  62
1 1 0  19.51  25
1 1 -2  19.89  28
1 1 1  26.00  52
2 -2 0  26.52  100
3 -1 0  33.22  31
2 -2 2  33.38  43
2 2 -2  34.35  79
-3 3 1  41.53  22
4 -4 0  54.57  35



(4)
Structure and simulated X-ray powder pattern of Na5Mn2P2C2O14 (DFT lattice parameters and positions (PBE+U); copper Kα).
Lines closer than 0.1° are merged.

Crystal structure
```
data_Na5Mn2P2C2O14
_space_group_name_H-M_alt 'P 1 21/m 1'
_space_group_IT_number 11
_cell_length_a 10.390
_cell_length_b 6.703
_cell_length_c 10.518
_cell_angle_alpha 90.00
_cell_angle_beta 119.49
_cell_angle_gamma 90.00
loop_
_space_group_symop_operation_xyz
'x,y,z'
'-x,-y,-z'
'-x,y+1/2,-z'
'x,-y+1/2,z'
loop_
_atom_site_label
_atom_site_type_symbol
_atom_site_fract_x
_atom_site_fract_y
_atom_site_fract_z
Na1 Na 0.095 0.250 0.175
Na2 Na 0.262 0.501 0.504
Na3 Na 0.262 0.510 0.009
Mn1 Mn 0.040 0.250 0.683
Mn2 Mn 0.462 0.750 0.820
P1 P 0.109 0.750 0.690
P2 P 0.391 0.250 0.811
C1 C 0.075 0.750 0.142
C2 C 0.415 0.250 0.345
O1 O 0.023 0.565 0.700
O2 O 0.069 0.250 0.919
O3 O 0.123 0.750 0.550
O4 O 0.138 0.750 0.062
O5 O 0.150 0.750 0.284
O6 O 0.233 0.250 0.671
O7 O 0.269 0.750 0.827
O8 O 0.337 0.250 0.409
O9 O 0.345 0.250 0.200
O10 O 0.374 0.250 0.949
O11 O 0.443 0.750 0.590
O12 O 0.476 0.061 0.806
```

Principal peaks in the range 2θ = 10–80°, in order of rising 2θ:
h k l  2θ (°)  I_rel
1 1 -1  16.46  47
2 1 0  23.74  23
1 0 -3  25.81  48
0 2 0  26.60  78
0 2 2  33.13  46
2 2 -2  33.29  89
2 0 2  34.06  100
0 1 4  41.67  40
4 2 -4  48.63  36
0 4 0  54.78  31



(5)
Structure and simulated X-ray powder pattern of NaMnPCO7 (DFT lattice parameters and positions (PBE+U); copper Kα).
Lines closer than 0.1° are merged.

Crystal structure
```
data_NaMnPCO7
_space_group_name_H-M_alt 'P 1 21/c 1'
_space_group_IT_number 14
_cell_length_a 5.231
_cell_length_b 6.256
_cell_length_c 18.151
_cell_angle_alpha 90.00
_cell_angle_beta 92.00
_cell_angle_gamma 90.00
loop_
_space_group_symop_operation_xyz
'x,y,z'
'-x,-y,-z'
'-x,y+1/2,-z+1/2'
'x,-y+1/2,z+1/2'
loop_
_atom_site_label
_atom_site_type_symbol
_atom_site_fract_x
_atom_site_fract_y
_atom_site_fract_z
Na1 Na 0.243 0.030 0.131
Mn1 Mn 0.217 0.247 0.421
P1 P 0.281 0.749 0.467
C1 C 0.271 0.243 0.789
O1 O 0.048 0.247 0.821
O2 O 0.127 0.737 0.537
O3 O 0.215 0.556 0.918
O4 O 0.216 0.559 0.414
O5 O 0.301 0.238 0.722
O6 O 0.428 0.239 0.012
O7 O 0.460 0.248 0.840
```

Principal peaks in the range 2θ = 10–80°, in order of rising 2θ:
h k l  2θ (°)  I_rel
0 1 2  17.22  100
1 0 -2  19.30  54
1 0 2  19.90  59
1 1 0  22.16  46
1 1 2  24.50  46
1 0 -4  25.55  73
0 2 0  28.53  92
1 1 4  30.17  30
2 0 0  34.31  43
1 1 6  37.74  35



(6)
Structure and simulated X-ray powder pattern of NaMnPCO7 (DFT lattice parameters and positions (PBE+U); copper Kα).
Lines closer than 0.1° are merged.

Crystal structure
```
data_NaMnPCO7
_space_group_name_H-M_alt 'C 1 m 1'
_space_group_IT_number 8
_cell_length_a 10.493
_cell_length_b 12.552
_cell_length_c 10.302
_cell_angle_alpha 90.00
_cell_angle_beta 118.53
_cell_angle_gamma 90.00
loop_
_space_group_symop_operation_xyz
'x,y,z'
'x,-y,z'
'x+1/2,y+1/2,z'
'x+1/2,-y+1/2,z'
loop_
_atom_site_label
_atom_site_type_symbol
_atom_site_fract_x
_atom_site_fract_y
_atom_site_fract_z
Na1 Na 0.000 0.125 0.000
Na2 Na 0.017 0.145 0.523
Mn1 Mn 0.189 0.500 0.421
Mn2 Mn 0.205 0.000 0.427
Mn3 Mn 0.321 0.250 0.109
P1 P 0.182 0.251 0.334
P2 P 0.332 0.000 0.194
P3 P 0.337 0.500 0.202
C1 C 0.160 0.256 0.844
C2 C 0.353 0.500 0.685
C3 C 0.358 0.000 0.694
O1 O 0.035 0.250 0.193
O2 O 0.077 0.257 0.711
O3 O 0.119 0.256 0.947
O4 O 0.198 0.154 0.435
O5 O 0.204 0.347 0.437
O6 O 0.208 0.000 0.239
O7 O 0.212 0.500 0.624
O8 O 0.213 0.000 0.626
O9 O 0.215 0.500 0.245
O10 O 0.303 0.097 0.091
O11 O 0.303 0.255 0.907
O12 O 0.306 0.252 0.291
O13 O 0.328 0.404 0.102
O14 O 0.397 0.500 0.583
O15 O 0.404 0.000 0.595
O16 O 0.436 0.000 0.828
O17 O 0.438 0.500 0.820
O18 O 0.480 0.000 0.332
O19 O 0.484 0.500 0.347
```

Principal peaks in the range 2θ = 10–80°, in order of rising 2θ:
h k l  2θ (°)  I_rel
0 2 1  17.19  100
2 0 0  19.26  52
2 0 -2  19.87  59
2 2 -1  22.09  42
2 2 -2  24.46  43
2 0 1  25.53  70
0 4 0  28.44  89
2 2 -3  30.13  28
4 0 -2  34.20  41
2 2 -4  37.76  33



(7)
Structure and simulated X-ray powder pattern of NaMnPCO7 (DFT lattice parameters and positions (PBE+U); copper Kα).
Lines closer than 0.1° are merged.

Crystal structure
```
data_NaMnPCO7
_space_group_name_H-M_alt 'P 1 21/c 1'
_space_group_IT_number 14
_cell_length_a 9.080
_cell_length_b 6.255
_cell_length_c 10.445
_cell_angle_alpha 90.00
_cell_angle_beta 91.87
_cell_angle_gamma 90.00
loop_
_space_group_symop_operation_xyz
'x,y,z'
'-x,-y,-z'
'-x,y+1/2,-z+1/2'
'x,-y+1/2,z+1/2'
loop_
_atom_site_label
_atom_site_type_symbol
_atom_site_fract_x
_atom_site_fract_y
_atom_site_fract_z
Na1 Na 0.240 0.030 0.126
Mn1 Mn 0.342 0.750 0.359
P1 P 0.433 0.249 0.891
C1 C 0.077 0.740 0.885
O1 O 0.056 0.238 0.600
O2 O 0.142 0.739 0.774
O3 O 0.178 0.747 0.980
O4 O 0.328 0.056 0.866
O5 O 0.334 0.059 0.353
O6 O 0.426 0.740 0.686
O7 O 0.476 0.249 0.537
```

Principal peaks in the range 2θ = 10–80°, in order of rising 2θ:
h k l  2θ (°)  I_rel
1 1 0  17.22  100
1 0 -2  19.34  66
1 0 2  19.90  59
0 1 2  22.18  47
1 1 2  24.50  47
2 0 -2  25.58  76
0 2 0  28.54  93
0 0 4  34.36  45
3 1 2  37.70  34
1 3 0  44.59  29